Record 1
# AcPa2S6
Simulated powder diffractogram, a wavelength of 1.5418 Å. Input: DFT lattice parameters and positions (PBE).
Lines closer than 0.1° are merged.

Peak list (6 most intense, 2θ = 5–70°, in order of rising 2θ)
d/Å  two_theta  I (rel.)
4.731  18.76  100
4.588  19.35  58
3.643  24.43  88
3.415  26.09  81
3.393  26.26  56
2.286  39.42  48

Lattice parameters (Å, degrees): 7.288 7.288 9.264 121.93 121.93 41.95
Fractional coordinates of all 9 atoms:
Ac 0.000 0.000 0.000
Pa 0.181 0.181 0.602
Pa 0.819 0.819 0.398
S 0.032 0.032 0.703
S 0.266 0.266 0.389
S 0.357 0.357 0.922
S 0.643 0.643 0.078
S 0.734 0.734 0.611
S 0.968 0.968 0.297



Record 2
# PH6PbCBr3
Simulated powder diffractogram, a wavelength of 1.5418 Å. Input: DFT lattice parameters and positions (PBE).
Lines closer than 0.1° are merged.

Peak list (6 most intense, 2θ = 5–70°, in order of rising 2θ)
d/Å  two_theta  I (rel.)
9.948  8.89  100
9.335  9.47  58
7.245  12.22  61
4.200  21.15  33
3.317  26.88  37
3.309  26.94  31

Lattice parameters (Å, degrees): 10.572 4.703 19.896 90.00 90.30 90.00
Fractional coordinates of all 48 atoms:
P 0.000 0.000 0.000
P 0.095 0.500 0.378
P 0.492 0.000 0.877
P 0.601 0.500 0.506
H 0.017 0.000 0.120
H 0.048 0.310 0.486
H 0.048 0.690 0.486
H 0.079 0.238 0.992
H 0.079 0.762 0.992
H 0.159 0.264 0.351
H 0.159 0.736 0.351
H 0.196 0.500 0.486
H 0.364 0.000 0.856
H 0.455 0.189 0.987
H 0.455 0.811 0.987
H 0.469 0.500 0.499
H 0.551 0.238 0.848
H 0.551 0.762 0.848
H 0.604 0.000 0.981
H 0.613 0.311 0.617
H 0.613 0.689 0.617
H 0.653 0.263 0.472
H 0.653 0.737 0.472
H 0.754 0.500 0.595
H 0.880 0.190 0.092
H 0.880 0.810 0.092
H 0.903 0.000 0.951
H 0.973 0.500 0.348
Pb 0.235 0.000 0.682
Pb 0.370 0.500 0.184
Pb 0.692 0.000 0.287
Pb 0.911 0.500 0.789
C 0.098 0.500 0.468
C 0.503 0.000 0.967
C 0.650 0.500 0.592
C 0.938 0.000 0.084
Br 0.046 0.500 0.649
Br 0.100 0.000 0.834
Br 0.205 0.000 0.231
Br 0.271 0.500 0.048
Br 0.354 0.000 0.551
Br 0.394 0.500 0.735
Br 0.509 0.500 0.334
Br 0.555 0.000 0.149
Br 0.754 0.000 0.742
Br 0.775 0.500 0.920
Br 0.842 0.000 0.415
Br 0.844 0.500 0.235



Record 3
# Nd7Ho3Th
Simulated powder diffractogram, a wavelength of 1.5418 Å. Input: DFT lattice parameters and positions (PBE).
Lines closer than 0.1° are merged.

Peak list (6 most intense, 2θ = 5–70°, in order of rising 2θ)
d/Å  two_theta  I (rel.)
2.876  31.10  48
2.825  31.68  100
2.709  33.07  30
2.672  33.53  52
1.817  50.22  25
1.528  60.58  29

Lattice parameters (Å, degrees): 10.300 10.300 12.618 114.77 114.77 41.02
Fractional coordinates of all 22 atoms:
Nd 0.079 0.590 0.473
Nd 0.085 0.588 0.977
Nd 0.231 0.769 0.750
Nd 0.332 0.341 0.225
Nd 0.341 0.332 0.725
Nd 0.410 0.921 0.027
Nd 0.412 0.915 0.523
Nd 0.588 0.085 0.477
Nd 0.590 0.079 0.973
Nd 0.659 0.668 0.275
Nd 0.668 0.659 0.775
Nd 0.769 0.231 0.250
Nd 0.915 0.412 0.023
Nd 0.921 0.410 0.527
Ho 0.165 0.169 0.272
Ho 0.169 0.165 0.772
Ho 0.500 0.500 0.000
Ho 0.500 0.500 0.500
Ho 0.831 0.835 0.228
Ho 0.835 0.831 0.728
Th 0.000 0.000 0.000
Th 0.000 0.000 0.500



Record 4
# Rb2CuTeS4
Simulated powder diffractogram, a wavelength of 1.5418 Å. Input: DFT lattice parameters and positions (PBE).
Lines closer than 0.1° are merged.

Peak list (6 most intense, 2θ = 5–70°, in order of rising 2θ)
d/Å  two_theta  I (rel.)
5.599  15.83  66
3.314  26.90  100
3.301  27.01  66
2.844  31.46  86
2.662  33.66  68
2.273  39.66  77

Lattice parameters (Å, degrees): 13.315 11.559 7.752 84.74 59.82 35.44
Fractional coordinates of all 16 atoms:
Rb 0.060 0.060 0.690
Rb 0.310 0.310 0.940
Rb 0.690 0.690 0.060
Rb 0.940 0.940 0.310
Cu 0.375 0.375 0.375
Cu 0.625 0.625 0.625
Te 0.125 0.125 0.125
Te 0.875 0.875 0.875
S 0.030 0.351 0.411
S 0.291 0.589 0.649
S 0.351 0.030 0.709
S 0.411 0.709 0.030
S 0.589 0.291 0.970
S 0.649 0.970 0.291
S 0.709 0.411 0.351
S 0.970 0.649 0.589



Record 5
# Rb3SmF7
Simulated powder diffractogram, a wavelength of 1.5418 Å. Input: DFT lattice parameters and positions (PBE).
Lines closer than 0.1° are merged.

Peak list (6 most intense, 2θ = 5–70°, in order of rising 2θ)
d/Å  two_theta  I (rel.)
5.788  15.31  33
3.683  24.17  49
3.576  24.90  100
3.479  25.60  52
3.309  26.94  54
2.340  38.47  47

Lattice parameters (Å, degrees): 6.624 6.624 7.059 115.98 115.98 89.89
Fractional coordinates of all 11 atoms:
Rb 0.000 0.000 0.000
Rb 0.274 0.726 0.555
Rb 0.726 0.274 0.555
Sm 0.547 0.547 0.106
F 0.187 0.520 0.810
F 0.375 0.375 0.227
F 0.375 0.847 0.242
F 0.520 0.187 0.810
F 0.676 0.676 0.923
F 0.825 0.825 0.486
F 0.847 0.375 0.242



Record 6
# LiAc2PaSe5
Simulated powder diffractogram, a wavelength of 1.5418 Å. Input: DFT lattice parameters and positions (PBE).
Lines closer than 0.1° are merged.

Peak list (6 most intense, 2θ = 5–70°, in order of rising 2θ)
d/Å  two_theta  I (rel.)
4.165  21.33  18
3.849  23.11  27
2.979  29.99  100
2.907  30.75  32
2.525  35.56  53
2.141  42.20  23

Lattice parameters (Å, degrees): 9.209 9.209 12.790 90.00 90.00 153.11
Fractional coordinates of all 18 atoms:
Li 0.044 0.956 0.500
Li 0.956 0.044 0.000
Ac 0.372 0.628 0.349
Ac 0.391 0.609 0.732
Ac 0.609 0.391 0.232
Ac 0.628 0.372 0.849
Pa 0.301 0.699 0.052
Pa 0.699 0.301 0.552
Se 0.004 0.996 0.818
Se 0.139 0.861 0.045
Se 0.188 0.812 0.398
Se 0.211 0.789 0.707
Se 0.451 0.549 0.099
Se 0.549 0.451 0.599
Se 0.789 0.211 0.207
Se 0.812 0.188 0.898
Se 0.861 0.139 0.545
Se 0.996 0.004 0.318



Record 7
# Li2MnN
Simulated powder diffractogram, a wavelength of 1.5418 Å. Input: DFT lattice parameters and positions (PBE).
Lines closer than 0.1° are merged.

Peak list (6 most intense, 2θ = 5–70°, in order of rising 2θ)
d/Å  two_theta  I (rel.)
3.770  23.60  11
3.246  27.48  100
2.460  36.53  49
1.874  48.59  27
1.630  56.45  21
1.623  56.72  10

Lattice parameters (Å, degrees): 3.748 3.748 3.770 90.00 90.00 120.00
Fractional coordinates of all 4 atoms:
Li 0.333 0.667 0.000
Li 0.667 0.333 0.000
Mn 0.000 0.000 0.500
N 0.000 0.000 0.000



Record 8
# La3Ag4Hg2
Simulated powder diffractogram, a wavelength of 1.5418 Å. Input: DFT lattice parameters and positions (PBE).
Lines closer than 0.1° are merged.

Peak list (6 most intense, 2θ = 5–70°, in order of rising 2θ)
d/Å  two_theta  I (rel.)
2.756  32.49  89
2.750  32.56  87
2.480  36.23  100
2.468  36.40  49
1.841  49.51  27
1.452  64.13  37

Lattice parameters (Å, degrees): 6.132 6.132 9.311 115.04 115.04 47.47
Fractional coordinates of all 9 atoms:
La 0.000 0.000 0.000
La 0.336 0.336 0.331
La 0.664 0.664 0.669
Ag 0.056 0.056 0.392
Ag 0.274 0.274 0.944
Ag 0.726 0.726 0.056
Ag 0.944 0.944 0.608
Hg 0.385 0.385 0.719
Hg 0.615 0.615 0.281



Question: Number 2 is which compound?
Answer: PH6PbCBr3



Repeat the second record exactly.
# PH6PbCBr3
Simulated powder diffractogram, a wavelength of 1.5418 Å. Input: DFT lattice parameters and positions (PBE).
Lines closer than 0.1° are merged.

Peak list (6 most intense, 2θ = 5–70°, in order of rising 2θ)
d/Å  two_theta  I (rel.)
9.948  8.89  100
9.335  9.47  58
7.245  12.22  61
4.200  21.15  33
3.317  26.88  37
3.309  26.94  31

Lattice parameters (Å, degrees): 10.572 4.703 19.896 90.00 90.30 90.00
Fractional coordinates of all 48 atoms:
P 0.000 0.000 0.000
P 0.095 0.500 0.378
P 0.492 0.000 0.877
P 0.601 0.500 0.506
H 0.017 0.000 0.120
H 0.048 0.310 0.486
H 0.048 0.690 0.486
H 0.079 0.238 0.992
H 0.079 0.762 0.992
H 0.159 0.264 0.351
H 0.159 0.736 0.351
H 0.196 0.500 0.486
H 0.364 0.000 0.856
H 0.455 0.189 0.987
H 0.455 0.811 0.987
H 0.469 0.500 0.499
H 0.551 0.238 0.848
H 0.551 0.762 0.848
H 0.604 0.000 0.981
H 0.613 0.311 0.617
H 0.613 0.689 0.617
H 0.653 0.263 0.472
H 0.653 0.737 0.472
H 0.754 0.500 0.595
H 0.880 0.190 0.092
H 0.880 0.810 0.092
H 0.903 0.000 0.951
H 0.973 0.500 0.348
Pb 0.235 0.000 0.682
Pb 0.370 0.500 0.184
Pb 0.692 0.000 0.287
Pb 0.911 0.500 0.789
C 0.098 0.500 0.468
C 0.503 0.000 0.967
C 0.650 0.500 0.592
C 0.938 0.000 0.084
Br 0.046 0.500 0.649
Br 0.100 0.000 0.834
Br 0.205 0.000 0.231
Br 0.271 0.500 0.048
Br 0.354 0.000 0.551
Br 0.394 0.500 0.735
Br 0.509 0.500 0.334
Br 0.555 0.000 0.149
Br 0.754 0.000 0.742
Br 0.775 0.500 0.920
Br 0.842 0.000 0.415
Br 0.844 0.500 0.235